(1)
HgTeO3: simulated powder X-ray diffraction pattern (Cu Kα), based on a crystal structure in the Materials Project, relaxed with PBE.
Neutral-atom scattering factors, no anomalous dispersion.

Largest 12 diffraction maxima, sorted by position, 15° ≤ 2θ ≤ 90°:
- 18.05 deg, intensity 29
- 25.43 deg, intensity 90
- 27.18 deg, intensity 56
- 28.14 deg, intensity 25
- 28.29 deg, intensity 45
- 29.12 deg, intensity 100
- 31.02 deg, intensity 47
- 31.17 deg, intensity 70
- 31.78 deg, intensity 61
- 32.69 deg, intensity 32
- 48.53 deg, intensity 22
- 50.58 deg, intensity 33

Structure:
a = 6.3141 Å, b = 7.6225 Å, c = 7.6838 Å
α = 94.19°, β = 113.70°, γ = 92.18°
Fractional coordinates of all 20 atoms:
Hg: 0.0548 0.2194 0.3486
Hg: 0.4372 0.5591 0.7336
Hg: 0.5628 0.4409 0.2664
Hg: 0.9452 0.7806 0.6514
Te: 0.0050 0.3521 0.8216
Te: 0.4685 0.0157 0.7388
Te: 0.5315 0.9843 0.2612
Te: 0.9950 0.6479 0.1784
O: 0.1967 0.5089 0.3635
O: 0.2028 0.5454 0.9850
O: 0.2272 0.3212 0.6972
O: 0.2543 0.9565 0.4819
O: 0.2637 0.9390 0.8500
O: 0.3651 0.1989 0.2241
O: 0.6349 0.8011 0.7759
O: 0.7363 0.0610 0.1500
O: 0.7457 0.0435 0.5181
O: 0.7728 0.6788 0.3028
O: 0.7972 0.4546 0.0150
O: 0.8033 0.4911 0.6365



(2)
SiO2: simulated powder X-ray diffraction pattern (Cu Kα), based on a crystal structure in the Materials Project, relaxed with PBE.
Neutral-atom scattering factors, no anomalous dispersion.

Largest 12 diffraction maxima, sorted by position, 15° ≤ 2θ ≤ 90°:
- 18.71 deg, intensity 100
- 22.68 deg, intensity 42
- 27.56 deg, intensity 11
- 28.65 deg, intensity 19
- 29.11 deg, intensity 79
- 30.46 deg, intensity 30
- 31.88 deg, intensity 56
- 41.30 deg, intensity 15
- 49.71 deg, intensity 17
- 52.54 deg, intensity 15
- 55.38 deg, intensity 10
- 58.38 deg, intensity 11

Structure:
a = 6.9674 Å, b = 6.9674 Å, c = 6.4720 Å
α = 90.00°, β = 90.00°, γ = 90.00°
Fractional coordinates of all 15 atoms:
Si: 0.0000 0.0000 0.0000
Si: 0.0000 0.2694 0.6191
Si: 0.0000 0.7306 0.6191
Si: 0.2694 0.0000 0.3809
Si: 0.7306 0.0000 0.3809
O: 0.0000 0.1923 0.8567
O: 0.0000 0.5000 0.6195
O: 0.0000 0.8077 0.8567
O: 0.1923 0.0000 0.1433
O: 0.1919 0.1919 0.5000
O: 0.1919 0.8081 0.5000
O: 0.5000 0.0000 0.3805
O: 0.8077 0.0000 0.1433
O: 0.8081 0.1919 0.5000
O: 0.8081 0.8081 0.5000



(3)
HfMg6Ga: simulated powder X-ray diffraction pattern (Cu Kα), based on a crystal structure in the Materials Project, relaxed with PBE.
Neutral-atom scattering factors, no anomalous dispersion.

Largest 12 diffraction maxima, sorted by position, 15° ≤ 2θ ≤ 90°:
- 15.66 deg, intensity 73
- 16.73 deg, intensity 33
- 17.74 deg, intensity 54
- 23.74 deg, intensity 54
- 24.48 deg, intensity 27
- 33.82 deg, intensity 46
- 34.89 deg, intensity 21
- 35.93 deg, intensity 40
- 36.48 deg, intensity 70
- 38.45 deg, intensity 100
- 50.17 deg, intensity 30
- 57.71 deg, intensity 23

Structure:
a = 4.9995 Å, b = 5.9981 Å, c = 11.3210 Å
α = 90.00°, β = 90.00°, γ = 90.00°
Fractional coordinates of all 16 atoms:
Hf: 0.0000 0.0000 0.0000
Hf: 0.0000 0.5000 0.5000
Mg: 0.0000 0.2502 0.2479
Mg: 0.0000 0.2498 0.7479
Mg: 0.0000 0.7498 0.2479
Mg: 0.0000 0.7502 0.7479
Mg: 0.5000 0.0000 0.1523
Mg: 0.5000 0.0000 0.6436
Mg: 0.5000 0.2450 0.9022
Mg: 0.5000 0.2550 0.4022
Mg: 0.5000 0.5000 0.1436
Mg: 0.5000 0.5000 0.6523
Mg: 0.5000 0.7450 0.4022
Mg: 0.5000 0.7550 0.9022
Ga: 0.0000 0.0000 0.4907
Ga: 0.0000 0.5000 0.9907



(4)
CsHgF3: simulated powder X-ray diffraction pattern (Cu Kα), based on a crystal structure in the Materials Project, relaxed with PBE.
Neutral-atom scattering factors, no anomalous dispersion.

Largest 12 diffraction maxima, sorted by position, 15° ≤ 2θ ≤ 90°:
- 18.98 deg, intensity 9
- 26.97 deg, intensity 100
- 38.51 deg, intensity 31
- 43.27 deg, intensity 5
- 47.65 deg, intensity 44
- 55.60 deg, intensity 21
- 59.30 deg, intensity 2
- 62.86 deg, intensity 19
- 69.67 deg, intensity 7
- 76.19 deg, intensity 23
- 82.54 deg, intensity 3
- 88.79 deg, intensity 12

Structure:
a = 4.6752 Å, b = 4.6752 Å, c = 4.6752 Å
α = 90.00°, β = 90.00°, γ = 90.00°
Fractional coordinates of all 5 atoms:
Cs: 0.0000 0.0000 0.0000
Hg: 0.5000 0.5000 0.5000
F: 0.0000 0.5000 0.5000
F: 0.5000 0.0000 0.5000
F: 0.5000 0.5000 0.0000



(5)
LaSiP3: simulated powder X-ray diffraction pattern (Cu Kα), based on a crystal structure in the Materials Project, relaxed with PBE.
Neutral-atom scattering factors, no anomalous dispersion.

Largest 12 diffraction maxima, sorted by position, 15° ≤ 2θ ≤ 90°:
- 20.83 deg, intensity 30
- 22.49 deg, intensity 100
- 25.56 deg, intensity 67
- 29.90 deg, intensity 43
- 30.91 deg, intensity 43
- 33.09 deg, intensity 33
- 34.02 deg, intensity 31
- 35.07 deg, intensity 34
- 35.41 deg, intensity 71
- 36.72 deg, intensity 32
- 37.57 deg, intensity 33
- 43.54 deg, intensity 40

Structure:
a = 5.9768 Å, b = 25.5858 Å, c = 5.7851 Å
α = 90.00°, β = 90.00°, γ = 90.00°
Fractional coordinates of all 40 atoms:
La: 0.0184 0.0904 0.0000
La: 0.0196 0.4012 0.4995
La: 0.4804 0.9012 0.9995
La: 0.4816 0.5904 0.5000
La: 0.5184 0.4096 0.0000
La: 0.5196 0.0988 0.4995
La: 0.9804 0.5988 0.9995
La: 0.9816 0.9096 0.5000
Si: 0.0651 0.7940 0.0810
Si: 0.1129 0.2913 0.0784
Si: 0.3871 0.7913 0.5784
Si: 0.4349 0.2940 0.5810
Si: 0.5651 0.7060 0.0810
Si: 0.6129 0.2087 0.0784
Si: 0.8871 0.7087 0.5784
Si: 0.9349 0.2060 0.5810
P: 0.0137 0.3725 0.9977
P: 0.0217 0.1242 0.4976
P: 0.0273 0.7880 0.4698
P: 0.0784 0.2837 0.4678
P: 0.1809 0.5019 0.2026
P: 0.1826 0.5016 0.8070
P: 0.3174 0.0016 0.3070
P: 0.3191 0.0019 0.7026
P: 0.4216 0.7837 0.9678
P: 0.4727 0.2880 0.9698
P: 0.4783 0.6242 0.9976
P: 0.4863 0.8725 0.4977
P: 0.5137 0.1275 0.9977
P: 0.5217 0.3758 0.4976
P: 0.5273 0.7120 0.4698
P: 0.5784 0.2163 0.4678
P: 0.6809 0.9981 0.2026
P: 0.6826 0.9984 0.8070
P: 0.8174 0.4984 0.3070
P: 0.8191 0.4981 0.7026
P: 0.9216 0.7163 0.9678
P: 0.9727 0.2120 0.9698
P: 0.9783 0.8758 0.9976
P: 0.9863 0.6275 0.4977



(6)
NiS2: simulated powder X-ray diffraction pattern (Cu Kα), based on a crystal structure in the Materials Project, relaxed with PBE.
Neutral-atom scattering factors, no anomalous dispersion.

Largest 12 diffraction maxima, sorted by position, 15° ≤ 2θ ≤ 90°:
- 20.02 deg, intensity 83
- 31.88 deg, intensity 100
- 34.94 deg, intensity 18
- 40.74 deg, intensity 24
- 50.37 deg, intensity 13
- 50.49 deg, intensity 24
- 54.65 deg, intensity 38
- 60.96 deg, intensity 27
- 66.80 deg, intensity 6
- 68.28 deg, intensity 9
- 74.19 deg, intensity 7
- 89.64 deg, intensity 9

Structure:
a = 5.1126 Å, b = 5.1126 Å, c = 8.9105 Å
α = 90.00°, β = 90.00°, γ = 90.00°
Fractional coordinates of all 12 atoms:
Ni: 0.0000 0.0000 0.0000
Ni: 0.0000 0.5000 0.2500
Ni: 0.5000 0.0000 0.7500
Ni: 0.5000 0.5000 0.5000
S: 0.2458 0.2500 0.1250
S: 0.2500 0.7458 0.3750
S: 0.2500 0.7542 0.8750
S: 0.2542 0.2500 0.6250
S: 0.7458 0.7500 0.6250
S: 0.7500 0.2458 0.8750
S: 0.7500 0.2542 0.3750
S: 0.7542 0.7500 0.1250



(7)
Dy3Sc2S7: simulated powder X-ray diffraction pattern (Cu Kα), based on a crystal structure in the Materials Project, relaxed with PBE.
Neutral-atom scattering factors, no anomalous dispersion.

Largest 12 diffraction maxima, sorted by position, 15° ≤ 2θ ≤ 90°:
- 18.61 deg, intensity 31
- 24.66 deg, intensity 93
- 25.00 deg, intensity 100
- 25.65 deg, intensity 62
- 28.76 deg, intensity 86
- 32.80 deg, intensity 85
- 33.98 deg, intensity 42
- 35.25 deg, intensity 71
- 36.50 deg, intensity 43
- 43.10 deg, intensity 47
- 48.36 deg, intensity 48
- 48.72 deg, intensity 36

Structure:
a = 6.4839 Å, b = 6.4839 Å, c = 11.3679 Å
α = 104.37°, β = 104.37°, γ = 33.51°
Fractional coordinates of all 12 atoms:
Dy: 0.0000 0.0000 0.0000
Dy: 0.3037 0.3037 0.2016
Dy: 0.6963 0.6963 0.7984
Sc: 0.1110 0.1110 0.4295
Sc: 0.8890 0.8890 0.5705
S: 0.0329 0.0329 0.7762
S: 0.2637 0.2637 0.6385
S: 0.3376 0.3376 0.9468
S: 0.5000 0.5000 0.5000
S: 0.6624 0.6624 0.0532
S: 0.7363 0.7363 0.3615
S: 0.9671 0.9671 0.2238



(8)
Pb4SO8: simulated powder X-ray diffraction pattern (Cu Kα), based on a crystal structure in the Materials Project, relaxed with PBE.
Neutral-atom scattering factors, no anomalous dispersion.

Largest 12 diffraction maxima, sorted by position, 15° ≤ 2θ ≤ 90°:
- 15.80 deg, intensity 31
- 18.51 deg, intensity 24
- 23.27 deg, intensity 20
- 27.04 deg, intensity 64
- 27.65 deg, intensity 100
- 29.60 deg, intensity 46
- 30.26 deg, intensity 36
- 30.89 deg, intensity 25
- 31.88 deg, intensity 64
- 36.68 deg, intensity 20
- 44.08 deg, intensity 18
- 49.34 deg, intensity 23

Structure:
a = 6.1372 Å, b = 7.9570 Å, c = 10.4613 Å
α = 73.85°, β = 79.54°, γ = 87.23°
Fractional coordinates of all 26 atoms:
Pb: 0.1687 0.0197 0.1720
Pb: 0.2217 0.4841 0.1704
Pb: 0.2283 0.6098 0.5386
Pb: 0.2453 0.1266 0.4718
Pb: 0.7547 0.8734 0.5282
Pb: 0.7717 0.3902 0.4614
Pb: 0.7783 0.5159 0.8296
Pb: 0.8313 0.9803 0.8280
S: 0.3022 0.2422 0.8273
S: 0.6978 0.7578 0.1727
O: 0.0170 0.7545 0.7474
O: 0.1050 0.8917 0.4212
O: 0.1273 0.3165 0.7411
O: 0.1539 0.4183 0.4159
O: 0.2697 0.3140 0.9466
O: 0.2806 0.0481 0.8713
O: 0.3650 0.2053 0.2519
O: 0.4752 0.7042 0.2582
O: 0.5248 0.2958 0.7418
O: 0.6350 0.7947 0.7481
O: 0.7194 0.9519 0.1287
O: 0.7303 0.6860 0.0534
O: 0.8461 0.5817 0.5841
O: 0.8727 0.6835 0.2589
O: 0.8950 0.1083 0.5788
O: 0.9830 0.2455 0.2526